[1]
This entry pairs a crystal structure of LiGdW2O8 with its theoretical powder XRD pattern. Radiation: Cu Kα, 1.54184 Å. Structure: the PBE+U geometry in Alexandria.
Intensities are scaled so that the largest is 100.

Peak list (8 most intense, 15° ≤ 2θ ≤ 90°, low angle first)
- 2θ = 18.62°, 4.766 Å, I 37
- 2θ = 28.78°, 3.102 Å, I 100
- 2θ = 31.89°, 2.806 Å, I 13
- 2θ = 34.06°, 2.632 Å, I 21
- 2θ = 47.35°, 1.920 Å, I 31
- 2θ = 48.94°, 1.861 Å, I 14
- 2θ = 54.92°, 1.672 Å, I 16
- 2θ = 57.76°, 1.596 Å, I 28

Atomic structure:
```
12
Lattice="-2.632 2.632 5.613 2.632 -2.632 5.613 2.632 2.632 -5.613" Properties=species:S:1:pos:R:3 pbc="T T T"
Li 0.000 0.000 0.000
Gd 0.000 2.632 2.806
W 2.632 0.000 2.806
W 0.000 0.000 5.613
O 0.862 1.344 -1.829
O 3.468 1.357 -1.013
O 3.920 0.862 1.829
O 1.357 1.797 1.013
O 1.771 1.288 3.784
O -0.836 1.276 4.600
O 1.276 0.836 6.626
O -1.288 1.771 7.441
```

---

[2]
This entry pairs a crystal structure of LiGdW2O8 with its theoretical powder XRD pattern. Radiation: Cu Kα, 1.54184 Å. Structure: the PBE+U geometry in Alexandria.
Intensities are scaled so that the largest is 100.

Peak list (8 most intense, 15° ≤ 2θ ≤ 90°, low angle first)
- 2θ = 17.51°, 5.065 Å, I 36
- 2θ = 22.86°, 3.890 Å, I 90
- 2θ = 28.38°, 3.145 Å, I 98
- 2θ = 29.45°, 3.033 Å, I 100
- 2θ = 34.45°, 2.603 Å, I 49
- 2θ = 35.32°, 2.541 Å, I 30
- 2θ = 48.49°, 1.877 Å, I 30
- 2θ = 49.57°, 1.839 Å, I 41

Atomic structure:
```
24
Lattice="5.088 0.000 0.000 0.000 6.064 0.000 -4.595 0.000 10.129" Properties=species:S:1:pos:R:3 pbc="T T T"
Li -1.149 1.497 2.532
Li -3.447 4.566 7.597
Gd -0.902 2.023 7.597
Gd 1.395 4.040 2.532
W 1.285 1.020 0.129
W -1.013 5.044 5.194
W 1.506 1.020 4.935
W -0.792 5.044 10.000
O -1.951 0.664 6.044
O 0.347 5.400 0.979
O 0.557 2.150 1.370
O -1.741 3.913 6.435
O -2.672 2.209 9.026
O -0.374 3.854 3.961
O -0.064 0.532 3.964
O -2.361 5.531 9.028
O 2.854 0.532 1.101
O 0.557 5.531 6.165
O 0.867 2.209 6.168
O 3.165 3.854 1.103
O 2.234 2.150 3.694
O -0.064 3.913 8.759
O 0.146 0.664 9.150
O 2.444 5.400 4.086
```